[1]
This entry pairs a crystal structure of CeDy8Er4 with its calculated powder X-ray diffraction pattern. Radiation: Cu Kα (λ = 1.5418 Å). Structure: a structure optimized by DFT (PBE).

a = 9.8284 Å, b = 9.8284 Å, c = 9.8284 Å
α = 43.24°, β = 43.24°, γ = 43.24°
Fractional positions:
Ce (0.0000, 0.0000, 0.0000)
Dy (0.2453, 0.2453, 0.6996)
Dy (0.2453, 0.6996, 0.2453)
Dy (0.2794, 0.2794, 0.2794)
Dy (0.3004, 0.7547, 0.7547)
Dy (0.6996, 0.2453, 0.2453)
Dy (0.7206, 0.7206, 0.7206)
Dy (0.7547, 0.3004, 0.7547)
Dy (0.7547, 0.7547, 0.3004)
Er (0.0000, 0.0000, 0.5000)
Er (0.0000, 0.5000, 0.0000)
Er (0.5000, 0.0000, 0.0000)
Er (0.5000, 0.5000, 0.5000)

Peak list (10 most intense, 2θ from 10° to 80°, sorted by position)
two_theta	Rel. int.
28.66	18.2
30.14	32.0
31.52	100.0
33.13	44.5
39.44	28.4
50.40	31.0
53.34	18.6
59.85	24.8
60.67	14.2
66.62	9.0



[2]
This entry pairs a crystal structure of CeDy2Er12 with its calculated powder X-ray diffraction pattern. Radiation: Cu Kα (λ = 1.5418 Å). Structure: a structure optimized by DFT (PBE).

a = 3.5238 Å, b = 5.5563 Å, c = 23.9233 Å
α = 90.00°, β = 94.10°, γ = 90.00°
Fractional positions:
Ce (0.0000, 0.0000, 0.0000)
Dy (0.3572, 0.0000, 0.7190)
Dy (0.6428, 0.0000, 0.2810)
Er (0.0944, 0.5000, 0.1930)
Er (0.1678, 0.5000, 0.3296)
Er (0.2133, 0.0000, 0.4234)
Er (0.2765, 0.5000, 0.5554)
Er (0.4343, 0.0000, 0.8637)
Er (0.4668, 0.5000, 0.9330)
Er (0.5332, 0.5000, 0.0670)
Er (0.5657, 0.0000, 0.1363)
Er (0.7235, 0.5000, 0.4446)
Er (0.7867, 0.0000, 0.5766)
Er (0.8322, 0.5000, 0.6704)
Er (0.9056, 0.5000, 0.8070)

Peak list (10 most intense, 2θ from 10° to 80°, sorted by position)
two_theta	Rel. int.
30.56	24.2
30.77	66.8
31.49	100.0
32.22	81.0
32.74	41.3
34.12	41.7
34.56	47.1
46.60	31.1
51.89	21.3
62.41	24.5



[3]
This entry pairs a crystal structure of CeDy4Er4 with its calculated powder X-ray diffraction pattern. Radiation: Cu Kα (λ = 1.5418 Å). Structure: a structure optimized by DFT (PBE).

a = 7.8767 Å, b = 7.8767 Å, c = 7.8767 Å
α = 95.77°, β = 95.77°, γ = 143.04°
Fractional positions:
Ce (0.0000, 0.0000, 0.0000)
Dy (0.0000, 0.3323, 0.3323)
Dy (0.0000, 0.6677, 0.6677)
Dy (0.3323, 0.0000, 0.3323)
Dy (0.6677, 0.0000, 0.6677)
Er (0.3345, 0.3345, 0.6691)
Er (0.3345, 0.6655, 0.0000)
Er (0.6655, 0.3345, 0.0000)
Er (0.6655, 0.6655, 0.3309)

Peak list (8 most intense, 2θ from 10° to 80°, sorted by position)
two_theta	Rel. int.
31.08	100.0
36.04	50.6
51.88	35.9
61.63	14.3
61.76	28.3
64.79	12.3
76.27	1.9
76.51	3.8



[4]
This entry pairs a crystal structure of Ce4DyEr with its calculated powder X-ray diffraction pattern. Radiation: Cu Kα (λ = 1.5418 Å). Structure: a structure optimized by DFT (PBE).

a = 6.3007 Å, b = 6.3007 Å, c = 6.3007 Å
α = 60.00°, β = 60.00°, γ = 60.00°
Fractional positions:
Ce (0.3765, 0.3765, 0.3765)
Ce (0.3765, 0.3765, 0.8706)
Ce (0.3765, 0.8706, 0.3765)
Ce (0.8706, 0.3765, 0.3765)
Dy (0.0000, 0.0000, 0.0000)
Er (0.7500, 0.7500, 0.7500)

Peak list (10 most intense, 2θ from 10° to 80°, sorted by position)
two_theta	Rel. int.
28.33	31.3
33.35	100.0
34.88	35.5
40.49	3.0
50.16	13.1
53.43	35.1
58.60	29.9
66.35	5.6
69.13	12.1
70.04	13.8



[5]
This entry pairs a crystal structure of CeDy6Er8 with its calculated powder X-ray diffraction pattern. Radiation: Cu Kα (λ = 1.5418 Å). Structure: a structure optimized by DFT (PBE).

a = 8.5433 Å, b = 8.5433 Å, c = 8.5433 Å
α = 63.12°, β = 63.12°, γ = 63.12°
Fractional positions:
Ce (0.0000, 0.0000, 0.0000)
Dy (0.1076, 0.2273, 0.5396)
Dy (0.2273, 0.5396, 0.1076)
Dy (0.4604, 0.8924, 0.7727)
Dy (0.5396, 0.1076, 0.2273)
Dy (0.7727, 0.4604, 0.8924)
Dy (0.8924, 0.7727, 0.4604)
Er (0.1117, 0.7496, 0.7183)
Er (0.2504, 0.2817, 0.8883)
Er (0.2817, 0.8883, 0.2504)
Er (0.4230, 0.4230, 0.4230)
Er (0.5770, 0.5770, 0.5770)
Er (0.7183, 0.1117, 0.7496)
Er (0.7496, 0.7183, 0.1117)
Er (0.8883, 0.2504, 0.2817)

Peak list (10 most intense, 2θ from 10° to 80°, sorted by position)
two_theta	Rel. int.
30.86	20.8
31.82	100.0
32.81	29.8
33.08	9.2
35.34	10.9
37.25	15.0
53.80	12.7
54.70	5.9
56.06	9.4
61.06	11.3



[6]
This entry pairs a crystal structure of CeDy4Er10 with its calculated powder X-ray diffraction pattern. Radiation: Cu Kα (λ = 1.5418 Å). Structure: a structure optimized by DFT (PBE).

a = 9.3187 Å, b = 9.3187 Å, c = 9.3187 Å
α = 99.57°, β = 99.57°, γ = 131.88°
Fractional positions:
Ce (0.0000, 0.0000, 0.0000)
Dy (0.2017, 0.6014, 0.8031)
Dy (0.3986, 0.2017, 0.6004)
Dy (0.6014, 0.7983, 0.3996)
Dy (0.7983, 0.3986, 0.1969)
Er (0.0484, 0.1495, 0.7028)
Er (0.1495, 0.4466, 0.1010)
Er (0.2500, 0.7500, 0.5000)
Er (0.3456, 0.0484, 0.8990)
Er (0.4466, 0.3456, 0.2972)
Er (0.5534, 0.6544, 0.7028)
Er (0.6544, 0.9516, 0.1010)
Er (0.7500, 0.2500, 0.5000)
Er (0.8505, 0.5534, 0.8990)
Er (0.9516, 0.8505, 0.2972)

Peak list (10 most intense, 2θ from 10° to 80°, sorted by position)
two_theta	Rel. int.
20.22	23.9
23.39	15.8
33.32	100.0
39.28	13.1
47.83	18.3
52.43	5.7
53.91	6.7
59.54	38.0
69.96	11.7
79.69	11.0



[7]
This entry pairs a crystal structure of Ce2Dy5Er4 with its calculated powder X-ray diffraction pattern. Radiation: Cu Kα (λ = 1.5418 Å). Structure: a structure optimized by DFT (PBE).

a = 3.4762 Å, b = 8.6666 Å, c = 11.5896 Å
α = 83.13°, β = 81.38°, γ = 89.99°
Fractional positions:
Ce (0.1867, 0.4371, 0.1261)
Ce (0.8133, 0.5629, 0.8739)
Dy (0.0369, 0.3486, 0.4256)
Dy (0.2367, 0.8210, 0.0273)
Dy (0.5000, 0.0000, 0.5000)
Dy (0.7633, 0.1790, 0.9727)
Dy (0.9630, 0.6514, 0.5744)
Er (0.1307, 0.0549, 0.2387)
Er (0.4006, 0.3002, 0.6985)
Er (0.5994, 0.6998, 0.3015)
Er (0.8693, 0.9451, 0.7613)

Peak list (10 most intense, 2θ from 10° to 80°, sorted by position)
two_theta	Rel. int.
30.63	78.2
31.23	78.1
31.93	69.6
33.33	100.0
36.11	19.5
37.38	43.8
52.66	27.9
62.51	21.6
62.92	20.8
63.77	19.9



[8]
This entry pairs a crystal structure of CeDy3Er4 with its calculated powder X-ray diffraction pattern. Radiation: Cu Kα (λ = 1.5418 Å). Structure: a structure optimized by DFT (PBE).

a = 7.0412 Å, b = 3.5221 Å, c = 10.5345 Å
α = 90.00°, β = 109.44°, γ = 90.00°
Fractional positions:
Ce (0.0000, 0.0000, 0.0000)
Dy (0.3712, 0.5000, 0.2490)
Dy (0.5000, 0.0000, 0.0000)
Dy (0.6288, 0.5000, 0.7510)
Er (0.1221, 0.5000, 0.7506)
Er (0.2509, 0.0000, 0.5027)
Er (0.7491, 0.0000, 0.4973)
Er (0.8779, 0.5000, 0.2494)

Peak list (9 most intense, 2θ from 10° to 80°, sorted by position)
two_theta	Rel. int.
31.13	100.0
36.10	50.6
51.96	23.9
52.04	11.9
61.80	28.4
61.93	14.1
64.92	12.2
76.52	3.8
76.76	1.9



[9]
This entry pairs a crystal structure of CeDy5Er with its calculated powder X-ray diffraction pattern. Radiation: Cu Kα (λ = 1.5418 Å). Structure: a structure optimized by DFT (PBE).

a = 6.1854 Å, b = 6.4547 Å, c = 6.4801 Å
α = 117.27°, β = 95.91°, γ = 96.03°
Fractional positions:
Ce (0.0000, 0.0000, 0.0000)
Dy (0.0000, 0.0000, 0.5000)
Dy (0.2698, 0.5809, 0.0799)
Dy (0.4993, 0.8112, 0.6887)
Dy (0.5007, 0.1888, 0.3113)
Dy (0.7302, 0.4191, 0.9201)
Er (0.0000, 0.5000, 0.5000)

Peak list (10 most intense, 2θ from 10° to 80°, sorted by position)
two_theta	Rel. int.
27.69	19.2
30.99	51.8
32.45	100.0
32.58	58.0
32.71	24.3
32.85	28.5
33.42	34.7
33.74	55.7
35.93	26.6
51.44	21.5



[10]
This entry pairs a crystal structure of CeDy2Er5 with its calculated powder X-ray diffraction pattern. Radiation: Cu Kα (λ = 1.5418 Å). Structure: a structure optimized by DFT (PBE).

a = 7.0343 Å, b = 14.0769 Å, c = 4.9734 Å
α = 90.00°, β = 90.00°, γ = 90.00°
Fractional positions:
Ce (0.0000, 0.0000, 0.0000)
Ce (0.5000, 0.5000, 0.0000)
Dy (0.2469, 0.1241, 0.5000)
Dy (0.2531, 0.6241, 0.5000)
Dy (0.7469, 0.3759, 0.5000)
Dy (0.7531, 0.8759, 0.5000)
Er (0.0000, 0.5000, 0.0000)
Er (0.0008, 0.2501, 0.0000)
Er (0.2456, 0.8760, 0.5000)
Er (0.2544, 0.3760, 0.5000)
Er (0.4992, 0.7501, 0.0000)
Er (0.5000, 0.0000, 0.0000)
Er (0.5008, 0.2499, 0.0000)
Er (0.7456, 0.6240, 0.5000)
Er (0.7544, 0.1240, 0.5000)
Er (0.9992, 0.7499, 0.0000)

Peak list (6 most intense, 2θ from 10° to 80°, sorted by position)
two_theta	Rel. int.
31.14	100.0
36.11	50.6
51.99	35.9
61.86	42.5
64.93	12.2
76.61	5.7



[11]
This entry pairs a crystal structure of CeDy6Er10 with its calculated powder X-ray diffraction pattern. Radiation: Cu Kα (λ = 1.5418 Å). Structure: a structure optimized by DFT (PBE).

a = 9.5619 Å, b = 9.5619 Å, c = 6.7580 Å
α = 90.00°, β = 90.00°, γ = 120.00°
Fractional positions:
Ce (0.0000, 0.0000, 0.0000)
Dy (0.0000, 0.3777, 0.8019)
Dy (0.0000, 0.6223, 0.1981)
Dy (0.3777, 0.0000, 0.8019)
Dy (0.3777, 0.3777, 0.1981)
Dy (0.6223, 0.0000, 0.1981)
Dy (0.6223, 0.6223, 0.8019)
Er (0.0000, 0.2741, 0.3176)
Er (0.0000, 0.7259, 0.6824)
Er (0.2741, 0.0000, 0.3176)
Er (0.2741, 0.2741, 0.6824)
Er (0.3333, 0.6667, 0.0000)
Er (0.3333, 0.6667, 0.5000)
Er (0.6667, 0.3333, 0.0000)
Er (0.6667, 0.3333, 0.5000)
Er (0.7259, 0.0000, 0.6824)
Er (0.7259, 0.7259, 0.3176)

Peak list (10 most intense, 2θ from 10° to 80°, sorted by position)
two_theta	Rel. int.
28.52	5.8
31.50	27.2
32.44	100.0
41.53	9.1
46.54	13.9
49.86	9.0
57.29	5.8
57.88	21.8
60.76	10.3
64.11	8.6



[12]
This entry pairs a crystal structure of Ce2Dy8Er3 with its calculated powder X-ray diffraction pattern. Radiation: Cu Kα (λ = 1.5418 Å). Structure: a structure optimized by DFT (PBE).

a = 8.6229 Å, b = 8.6229 Å, c = 6.7569 Å
α = 105.53°, β = 105.53°, γ = 63.71°
Fractional positions:
Ce (0.2163, 0.2163, 0.4121)
Ce (0.7837, 0.7837, 0.5879)
Dy (0.1897, 0.1897, 0.8851)
Dy (0.1969, 0.5649, 0.8223)
Dy (0.4173, 0.4173, 0.2736)
Dy (0.4351, 0.8031, 0.1777)
Dy (0.5649, 0.1969, 0.8223)
Dy (0.5827, 0.5827, 0.7264)
Dy (0.8031, 0.4351, 0.1777)
Dy (0.8103, 0.8103, 0.1149)
Er (0.0000, 0.0000, 0.0000)
Er (0.1724, 0.8276, 0.5000)
Er (0.8276, 0.1724, 0.5000)

Peak list (10 most intense, 2θ from 10° to 80°, sorted by position)
two_theta	Rel. int.
25.02	32.2
29.28	71.6
31.44	77.8
32.11	100.0
32.40	91.7
33.28	32.7
33.71	74.9
35.36	36.0
35.73	32.5
42.04	28.2